[1]
Diffraction record for Mn2P3O10. The X-ray powder pattern is calculated, not measured: it uses a DFT-relaxed cell (PBE+U, the Materials Project) and Cu Ka.

The 12 most intense peaks (10 to 90 degrees two-theta), in order of rising 2θ:
Position (°2θ)	I_rel
13.65	99.8
15.46	36.0
18.93	15.8
19.51	65.7
21.69	57.5
21.79	36.0
25.34	60.1
27.50	100.0
30.13	26.5
33.33	24.0
34.02	37.1
39.29	18.3

Atomic structure:
```
data_Mn2P3O10
_chemical_formula_sum 'Mn8 P12 O40'
_cell_length_a 13.7810
_cell_length_b 8.9831
_cell_length_c 9.4975
_cell_angle_alpha 90.00
_cell_angle_beta 123.74
_cell_angle_gamma 90.00
_space_group_name_H-M_alt 'C 1 2/c 1'
_space_group_IT_number 15
loop_
_space_group_symop_operation_xyz
'x,y,z'
'-x,-y,-z'
'-x,y,-z+1/2'
'x,-y,z+1/2'
'x+1/2,y+1/2,z'
'-x+1/2,-y+1/2,-z'
'-x+1/2,y+1/2,-z+1/2'
'x+1/2,-y+1/2,z+1/2'
loop_
_atom_site_label
_atom_site_type_symbol
_atom_site_fract_x
_atom_site_fract_y
_atom_site_fract_z
Mn1 Mn 0.2190 0.0191 0.0340
P1 P 0.0000 0.4161 0.7500
P2 P 0.1397 0.2058 0.7005
O1 O 0.0234 0.3060 0.6372
O2 O 0.1081 0.4968 0.3718
O3 O 0.1317 0.0692 0.7900
O4 O 0.1321 0.1585 0.5404
O5 O 0.2464 0.3027 0.8162
```


[2]
Diffraction record for Mn2P5O15. The X-ray powder pattern is calculated, not measured: it uses a DFT-relaxed cell (PBE+U, the Materials Project) and Cu Ka.

The 12 most intense peaks (10 to 90 degrees two-theta), in order of rising 2θ:
Position (°2θ)	I_rel
13.70	58.5
18.35	48.7
20.21	80.1
21.11	53.8
24.67	89.9
24.97	100.0
25.40	68.8
27.17	57.7
27.51	39.3
29.43	96.0
33.04	33.6
34.76	36.3

Atomic structure:
```
data_Mn2P5O15
_chemical_formula_sum 'Mn4 P10 O30'
_cell_length_a 5.4044
_cell_length_b 8.5507
_cell_length_c 13.6347
_cell_angle_alpha 90.00
_cell_angle_beta 108.60
_cell_angle_gamma 90.00
_space_group_name_H-M_alt 'P 1 2/c 1'
_space_group_IT_number 13
loop_
_space_group_symop_operation_xyz
'x,y,z'
'-x,-y,-z'
'-x,y,-z+1/2'
'x,-y,z+1/2'
loop_
_atom_site_label
_atom_site_type_symbol
_atom_site_fract_x
_atom_site_fract_y
_atom_site_fract_z
Mn1 Mn 0.0949 0.2182 0.4547
P1 P 0.0000 0.4417 0.2500
P2 P 0.3054 0.3255 0.9081
P3 P 0.4654 0.0090 0.8600
O1 O 0.0944 0.3548 0.1722
O2 O 0.0992 0.3241 0.9596
O3 O 0.2322 0.4408 0.8100
O4 O 0.2659 0.0290 0.5606
O5 O 0.2837 0.1588 0.8486
O6 O 0.3046 0.1319 0.3683
O7 O 0.4148 0.3550 0.5312
O8 O 0.5000 0.0018 0.2500
```


[3]
Diffraction record for MnP4O12. The X-ray powder pattern is calculated, not measured: it uses a DFT-relaxed cell (PBE+U, the Materials Project) and Cu Ka.

The 12 most intense peaks (10 to 90 degrees two-theta), in order of rising 2θ:
Position (°2θ)	I_rel
12.48	61.4
13.07	100.0
14.09	32.5
17.66	15.6
22.03	17.5
23.35	13.1
23.95	55.7
24.18	20.8
25.11	38.6
26.77	16.0
31.87	28.0
33.26	15.0

Atomic structure:
```
data_MnP4O12
_chemical_formula_sum 'Mn2 P8 O24'
_cell_length_a 5.0868
_cell_length_b 13.5478
_cell_length_c 7.1825
_cell_angle_alpha 90.00
_cell_angle_beta 99.08
_cell_angle_gamma 90.00
_space_group_name_H-M_alt 'P 1 21 1'
_space_group_IT_number 4
loop_
_space_group_symop_operation_xyz
'x,y,z'
'-x,y+1/2,-z'
loop_
_atom_site_label
_atom_site_type_symbol
_atom_site_fract_x
_atom_site_fract_y
_atom_site_fract_z
Mn1 Mn 0.0084 0.0000 0.0086
P1 P 0.2738 0.5883 0.3859
P2 P 0.3543 0.9346 0.4075
P3 P 0.4811 0.3612 0.9432
P4 P 0.4967 0.1384 0.9530
O1 O 0.1116 0.5121 0.2558
O2 O 0.1121 0.9753 0.2730
O3 O 0.1375 0.6707 0.4615
O4 O 0.2073 0.3766 0.9972
O5 O 0.2235 0.1221 0.0091
O6 O 0.2812 0.5786 0.9322
O7 O 0.3030 0.8797 0.5731
O8 O 0.3054 0.9278 0.9516
O9 O 0.4275 0.7512 0.0019
O10 O 0.4492 0.5278 0.5514
O11 O 0.4744 0.3675 0.7231
O12 O 0.4893 0.1256 0.7349
```


[4]
Diffraction record for Mn2P2O7. The X-ray powder pattern is calculated, not measured: it uses a DFT-relaxed cell (PBE+U, the Materials Project) and Cu Ka.

The 12 most intense peaks (10 to 90 degrees two-theta), in order of rising 2θ:
Position (°2θ)	I_rel
16.94	10.1
28.37	47.7
28.56	100.0
30.02	65.8
33.78	22.4
34.26	24.8
41.02	21.4
43.16	15.1
48.55	16.2
54.38	9.9
55.95	20.8
69.28	13.8

Atomic structure:
```
data_Mn2P2O7
_chemical_formula_sum 'Mn4 P4 O14'
_cell_length_a 6.7154
_cell_length_b 8.7058
_cell_length_c 4.6045
_cell_angle_alpha 90.00
_cell_angle_beta 102.72
_cell_angle_gamma 90.00
_space_group_name_H-M_alt 'C 1 2/m 1'
_space_group_IT_number 12
loop_
_space_group_symop_operation_xyz
'x,y,z'
'-x,-y,-z'
'-x,y,-z'
'x,-y,z'
'x+1/2,y+1/2,z'
'-x+1/2,-y+1/2,-z'
'-x+1/2,y+1/2,-z'
'x+1/2,-y+1/2,z'
loop_
_atom_site_label
_atom_site_type_symbol
_atom_site_fract_x
_atom_site_fract_y
_atom_site_fract_z
Mn1 Mn 0.0000 0.1904 0.0000
P1 P 0.2157 0.5000 0.4083
O1 O 0.0000 0.5000 0.5000
O2 O 0.1276 0.0000 0.2935
O3 O 0.2246 0.3532 0.2259
```


[5]
Diffraction record for MnPO4. The X-ray powder pattern is calculated, not measured: it uses a DFT-relaxed cell (PBE+U, the Materials Project) and Cu Ka.

The 12 most intense peaks (10 to 90 degrees two-theta), in order of rising 2θ:
Position (°2θ)	I_rel
21.24	57.1
21.36	100.0
21.68	43.8
34.33	18.6
34.89	17.2
36.55	16.6
36.80	16.5
39.60	8.1
42.68	16.0
46.54	7.9
54.26	9.5
54.97	7.3

Atomic structure:
```
data_MnPO4
_chemical_formula_sum 'Mn4 P4 O16'
_cell_length_a 9.3051
_cell_length_b 4.9171
_cell_length_c 9.1180
_cell_angle_alpha 90.00
_cell_angle_beta 115.94
_cell_angle_gamma 90.00
_space_group_name_H-M_alt 'C 1 c 1'
_space_group_IT_number 9
loop_
_space_group_symop_operation_xyz
'x,y,z'
'x,-y,z+1/2'
'x+1/2,y+1/2,z'
'x+1/2,-y+1/2,z+1/2'
loop_
_atom_site_label
_atom_site_type_symbol
_atom_site_fract_x
_atom_site_fract_y
_atom_site_fract_z
Mn1 Mn 0.0000 0.2162 0.0000
P1 P 0.1181 0.2764 0.3685
O1 O 0.0983 0.1305 0.5091
O2 O 0.1083 0.4131 0.8952
O3 O 0.2784 0.2069 0.3637
O4 O 0.4827 0.3121 0.7010
```


[6]
Diffraction record for MnP3O9. The X-ray powder pattern is calculated, not measured: it uses a DFT-relaxed cell (PBE+U, the Materials Project) and Cu Ka.

The 12 most intense peaks (10 to 90 degrees two-theta), in order of rising 2θ:
Position (°2θ)	I_rel
13.25	93.0
17.44	100.0
18.33	56.1
22.15	28.9
24.71	55.6
26.59	43.5
28.20	40.4
28.98	46.1
30.04	26.2
30.31	25.1
31.57	49.3
33.16	49.0

Atomic structure:
```
data_MnP3O9
_chemical_formula_sum 'Mn2 P6 O18'
_cell_length_a 6.8107
_cell_length_b 7.2527
_cell_length_c 7.3001
_cell_angle_alpha 95.02
_cell_angle_beta 100.26
_cell_angle_gamma 93.14
_space_group_name_H-M_alt 'P -1'
_space_group_IT_number 2
loop_
_space_group_symop_operation_xyz
'x,y,z'
'-x,-y,-z'
loop_
_atom_site_label
_atom_site_type_symbol
_atom_site_fract_x
_atom_site_fract_y
_atom_site_fract_z
Mn1 Mn 0.0872 0.1821 0.3409
P1 P 0.1180 0.6664 0.3087
P2 P 0.1926 0.1465 0.9308
P3 P 0.4370 0.3257 0.6860
O1 O 0.0143 0.2812 0.8851
O2 O 0.0725 0.8050 0.4626
O3 O 0.0836 0.4644 0.3176
O4 O 0.1433 0.9582 0.8198
O5 O 0.2384 0.1433 0.1412
O6 O 0.3318 0.1881 0.5227
O7 O 0.3335 0.7305 0.2762
O8 O 0.3832 0.2452 0.8770
O9 O 0.4109 0.5254 0.6888
```